No. 1
B5Ir3W2: computed PXRD pattern (Cu Kα X-rays), based on DFT lattice parameters and positions (PBE).

Top 8 peaks for 2θ = 10–80°, low angle first:
| d (Å) | 2θ (°) | I_rel |
| --- | --- | --- |
| 7.908 | 11.19 | 37 |
| 2.630 | 34.09 | 57 |
| 2.539 | 35.35 | 29 |
| 2.471 | 36.36 | 45 |
| 2.365 | 38.04 | 52 |
| 2.095 | 43.17 | 100 |
| 2.039 | 44.43 | 44 |
| 1.269 | 74.85 | 27 |

Cell and atoms:
```
B5Ir3W2
1.0
-1.449 7.908 2.365
1.449 -7.908 2.365
1.449 7.908 -2.365
B Ir W
5 3 2
Direct
0.000 0.000 0.000
0.267 0.545 0.722
0.425 0.146 0.279
0.824 0.545 0.278
0.867 0.146 0.721
0.344 0.844 0.500
0.751 0.345 0.405
0.940 0.345 0.595
0.194 0.345 0.848
0.497 0.345 0.152
```


No. 2
Y2B7Ir12: computed PXRD pattern (Cu Kα X-rays), based on DFT lattice parameters and positions (PBE).

Top 8 peaks for 2θ = 10–80°, low angle first:
| d (Å) | 2θ (°) | I_rel |
| --- | --- | --- |
| 7.730 | 11.45 | 11 |
| 2.922 | 30.60 | 27 |
| 2.350 | 38.30 | 100 |
| 1.977 | 45.91 | 19 |
| 1.885 | 48.29 | 14 |
| 1.687 | 54.39 | 17 |
| 1.283 | 73.85 | 13 |
| 1.201 | 79.84 | 12 |

Cell and atoms:
```
Y2B7Ir12
1.0
8.926 0.000 0.000
-4.463 7.730 0.000
0.000 0.000 3.954
Y B Ir
2 7 12
Direct
0.000 0.000 0.000
0.333 0.667 0.500
0.066 0.612 0.000
0.230 0.011 0.500
0.388 0.454 0.000
0.546 0.934 0.000
0.667 0.333 0.500
0.781 0.770 0.500
0.989 0.219 0.500
0.019 0.757 0.500
0.117 0.386 0.000
0.243 0.261 0.500
0.268 0.883 0.000
0.456 0.256 0.000
0.493 0.067 0.500
0.575 0.507 0.500
0.614 0.732 0.000
0.739 0.981 0.500
0.744 0.199 0.000
0.801 0.544 0.000
0.933 0.425 0.500
```


No. 3
YB4Ir4: computed PXRD pattern (Cu Kα X-rays), based on DFT lattice parameters and positions (PBE).

Top 8 peaks for 2θ = 10–80°, low angle first:
| d (Å) | 2θ (°) | I_rel |
| --- | --- | --- |
| 4.383 | 20.26 | 26 |
| 3.077 | 29.02 | 59 |
| 2.543 | 35.30 | 100 |
| 2.301 | 39.15 | 51 |
| 2.265 | 39.80 | 43 |
| 2.031 | 44.61 | 43 |
| 1.912 | 47.56 | 31 |
| 1.337 | 70.42 | 25 |

Cell and atoms:
```
YB4Ir4
1.0
5.407 0.000 0.000
0.000 5.407 0.000
0.000 0.000 7.483
Y B Ir
2 8 8
Direct
0.250 0.750 0.250
0.750 0.250 0.750
0.077 0.250 0.096
0.250 0.077 0.596
0.250 0.423 0.596
0.423 0.250 0.096
0.577 0.750 0.904
0.750 0.577 0.404
0.750 0.923 0.404
0.923 0.750 0.904
0.001 0.750 0.606
0.250 0.501 0.894
0.250 0.999 0.894
0.499 0.750 0.606
0.501 0.250 0.394
0.750 0.001 0.106
0.750 0.499 0.106
0.999 0.250 0.394
```


No. 4
YB3Ir3: computed PXRD pattern (Cu Kα X-rays), based on DFT lattice parameters and positions (PBE).

Top 8 peaks for 2θ = 10–80°, low angle first:
| d (Å) | 2θ (°) | I_rel |
| --- | --- | --- |
| 5.286 | 16.77 | 8 |
| 2.643 | 33.92 | 100 |
| 2.492 | 36.04 | 7 |
| 1.998 | 45.39 | 8 |
| 1.869 | 48.72 | 14 |
| 1.813 | 50.32 | 7 |
| 1.672 | 54.92 | 8 |
| 1.526 | 60.69 | 26 |

Cell and atoms:
```
YB3Ir3
1.0
7.476 0.000 0.000
0.000 7.476 0.000
0.000 0.000 7.476
Y B Ir
4 12 12
Direct
0.002 0.498 0.502
0.498 0.502 0.002
0.502 0.002 0.498
0.998 0.998 0.998
0.008 0.808 0.683
0.183 0.492 0.192
0.192 0.183 0.492
0.308 0.817 0.992
0.317 0.508 0.692
0.492 0.192 0.183
0.508 0.692 0.317
0.683 0.008 0.808
0.692 0.317 0.508
0.808 0.683 0.008
0.817 0.992 0.308
0.992 0.308 0.817
0.051 0.949 0.449
0.230 0.230 0.230
0.244 0.256 0.744
0.256 0.744 0.244
0.270 0.770 0.730
0.449 0.051 0.949
0.551 0.551 0.551
0.730 0.270 0.770
0.744 0.244 0.256
0.756 0.756 0.756
0.770 0.730 0.270
0.949 0.449 0.051
```


No. 5
ZnBIr: computed PXRD pattern (Cu Kα X-rays), based on DFT lattice parameters and positions (PBE).

Top 8 peaks for 2θ = 10–80°, low angle first:
| d (Å) | 2θ (°) | I_rel |
| --- | --- | --- |
| 3.709 | 23.99 | 68 |
| 2.616 | 34.28 | 100 |
| 2.246 | 40.16 | 40 |
| 2.150 | 42.03 | 56 |
| 1.966 | 46.17 | 22 |
| 1.949 | 46.60 | 44 |
| 1.695 | 54.12 | 23 |
| 1.224 | 78.10 | 22 |

Cell and atoms:
```
ZnBIr
1.0
4.242 0.000 0.000
0.000 2.917 0.000
-0.969 0.000 5.898
Zn B Ir
2 2 2
Direct
0.238 0.250 0.443
0.762 0.750 0.557
0.144 0.250 0.048
0.856 0.750 0.952
0.322 0.750 0.830
0.678 0.250 0.170
```


No. 6
Zn4BIr3: computed PXRD pattern (Cu Kα X-rays), based on DFT lattice parameters and positions (PBE).

Top 8 peaks for 2θ = 10–80°, low angle first:
| d (Å) | 2θ (°) | I_rel |
| --- | --- | --- |
| 3.650 | 24.38 | 40 |
| 3.269 | 27.28 | 75 |
| 2.411 | 37.30 | 33 |
| 2.217 | 40.70 | 100 |
| 2.026 | 44.74 | 69 |
| 1.918 | 47.40 | 87 |
| 1.826 | 49.93 | 32 |
| 1.288 | 73.51 | 32 |

Cell and atoms:
```
Zn4BIr3
1.0
2.886 0.000 0.000
0.000 7.301 0.000
0.000 0.000 10.966
Zn B Ir
8 2 6
Direct
0.000 0.192 0.149
0.000 0.192 0.851
0.000 0.808 0.149
0.000 0.808 0.851
0.500 0.308 0.351
0.500 0.308 0.649
0.500 0.692 0.351
0.500 0.692 0.649
0.000 0.500 0.000
0.500 0.000 0.500
0.000 0.000 0.363
0.000 0.000 0.637
0.000 0.500 0.500
0.500 0.000 0.000
0.500 0.500 0.137
0.500 0.500 0.863
```


No. 7
ZrB4Ir3: computed PXRD pattern (Cu Kα X-rays), based on DFT lattice parameters and positions (PBE).

Top 8 peaks for 2θ = 10–80°, low angle first:
| d (Å) | 2θ (°) | I_rel |
| --- | --- | --- |
| 3.305 | 26.98 | 26 |
| 2.597 | 34.54 | 100 |
| 2.498 | 35.95 | 29 |
| 2.417 | 37.20 | 85 |
| 2.203 | 40.96 | 30 |
| 1.833 | 49.74 | 40 |
| 1.628 | 56.52 | 25 |
| 1.274 | 74.47 | 24 |

Cell and atoms:
```
ZrB4Ir3
1.0
7.632 0.000 0.000
-3.816 6.610 0.000
0.000 0.000 3.544
Zr B Ir
2 8 6
Direct
0.333 0.667 0.250
0.667 0.333 0.750
0.000 0.000 0.000
0.000 0.000 0.500
0.051 0.447 0.750
0.396 0.949 0.750
0.447 0.396 0.250
0.553 0.604 0.750
0.604 0.051 0.250
0.949 0.553 0.250
0.073 0.742 0.750
0.258 0.330 0.750
0.330 0.073 0.250
0.670 0.927 0.750
0.742 0.670 0.250
0.927 0.258 0.250
```


No. 8
Zr4B15Ir12: computed PXRD pattern (Cu Kα X-rays), based on DFT lattice parameters and positions (PBE).

Top 8 peaks for 2θ = 10–80°, low angle first:
| d (Å) | 2θ (°) | I_rel |
| --- | --- | --- |
| 3.796 | 23.43 | 22 |
| 3.288 | 27.12 | 28 |
| 2.592 | 34.61 | 100 |
| 2.485 | 36.14 | 28 |
| 2.411 | 37.29 | 85 |
| 2.192 | 41.19 | 29 |
| 1.824 | 50.01 | 41 |
| 1.622 | 56.75 | 21 |

Cell and atoms:
```
Zr4B15Ir12
1.0
3.548 0.000 0.000
-0.006 7.588 0.000
-0.012 -0.013 13.159
Zr B Ir
4 15 12
Direct
0.246 0.499 0.165
0.249 0.000 0.669
0.751 0.000 0.331
0.754 0.501 0.835
0.000 0.000 0.000
0.000 0.500 0.500
0.249 0.923 0.474
0.254 0.250 0.300
0.256 0.327 0.725
0.261 0.827 0.222
0.264 0.752 0.804
0.274 0.421 0.975
0.500 0.500 0.500
0.726 0.579 0.025
0.736 0.248 0.196
0.739 0.173 0.778
0.744 0.673 0.275
0.746 0.750 0.700
0.751 0.077 0.526
0.230 0.710 0.965
0.237 0.092 0.163
0.241 0.200 0.872
0.247 0.700 0.372
0.249 0.592 0.665
0.251 0.207 0.463
0.749 0.793 0.537
0.751 0.408 0.335
0.753 0.300 0.628
0.759 0.800 0.128
0.763 0.908 0.837
0.770 0.290 0.035
```